Calculated X-ray powder pattern of Tb3SmYSc for Cu Kα, 1.54184 Å, from DFT lattice parameters and positions (GGA-PBE).
Neutral-atom scattering factors, no anomalous dispersion.

The 12 most intense peaks (10 to 90 degrees two-theta), in order of rising 2θ:
| 2θ/deg | Rel. int. | h k l |
| --- | --- | --- |
| 31.08 | 1000 | 1 1 2 |
| 36.00 | 337 | 0 2 0 |
| 36.10 | 166 | 3 0 0 |
| 51.86 | 293 | 3 2 0 |
| 51.99 | 58 | 2 0 4 |
| 61.60 | 72 | 2 3 -2 |
| 61.67 | 138 | 1 3 2 |
| 61.80 | 205 | 4 1 2 |
| 64.75 | 59 | 4 2 -4 |
| 64.84 | 59 | 2 2 4 |
| 84.71 | 85 | 0 3 6 |
| 84.79 | 56 | 4 3 2 |

```
data_Tb3SmYSc
_chemical_formula_sum 'Tb6 Sm2 Y2 Sc2'
_space_group_name_H-M_alt 'P 1 21/m 1'
_space_group_IT_number 11
_space_group_name_Hall '-P 2yb'
_cell_length_a 7.872
_cell_length_b 4.995
_cell_length_c 9.966
_cell_angle_alpha 90.00
_cell_angle_beta 108.55
_cell_angle_gamma 90.00
loop_
_atom_site_label
_atom_site_type_symbol
_atom_site_fract_x
_atom_site_fract_y
_atom_site_fract_z
_atom_site_occupancy
Tb1 Tb 0.168 0.250 0.045 1
Tb2 Tb 0.170 0.750 0.789 1
Tb3 Tb 0.175 0.250 0.541 1
Sm1 Sm 0.500 0.250 0.871 1
Y1 Y 0.173 0.750 0.297 1
Sc1 Sc 0.499 0.250 0.380 1
```

***

Calculated X-ray powder pattern of Al2Ag3 for Cu Kα, 1.54184 Å, from DFT lattice parameters and positions (GGA-PBE).
Neutral-atom scattering factors, no anomalous dispersion.

The 12 most intense peaks (10 to 90 degrees two-theta), in order of rising 2θ:
| 2θ/deg | Rel. int. | h k l |
| --- | --- | --- |
| 12.45 | 470 | 0 0 1 |
| 17.67 | 165 | 0 1 -1 |
| 22.83 | 183 | 1 0 -1 |
| 35.76 | 159 | 0 2 1 |
| 37.58 | 813 | 1 -2 0 |
| 37.69 | 807 | 1 2 -1 |
| 38.57 | 745 | 1 0 2 |
| 38.81 | 730 | 1 0 -3 |
| 44.16 | 1000 | 0 2 2 |
| 44.76 | 493 | 2 0 -1 |
| 62.78 | 162 | 0 4 -1 |
| 76.21 | 177 | 1 4 1 |

```
data_Al2Ag3
_chemical_formula_sum 'Al4 Ag6'
_space_group_name_H-M_alt 'P 1'
_space_group_IT_number 1
_space_group_name_Hall 'P 1'
_cell_length_a 4.050
_cell_length_b 5.921
_cell_length_c 7.524
_cell_angle_alpha 101.27
_cell_angle_beta 105.21
_cell_angle_gamma 90.17
loop_
_atom_site_label
_atom_site_type_symbol
_atom_site_fract_x
_atom_site_fract_y
_atom_site_fract_z
_atom_site_occupancy
Al1 Al 0.000 0.000 0.000 1
Al2 Al 0.002 0.505 0.002 1
Al3 Al 0.393 0.205 0.789 1
Al4 Al 0.793 0.889 0.589 1
Ag1 Ag 0.198 0.595 0.396 1
Ag2 Ag 0.201 0.095 0.402 1
Ag3 Ag 0.398 0.721 0.799 1
Ag4 Ag 0.587 0.291 0.173 1
Ag5 Ag 0.600 0.796 0.195 1
Ag6 Ag 0.804 0.394 0.610 1
```

***

Calculated X-ray powder pattern of CoPt2 for Cu Kα, 1.54184 Å, from DFT lattice parameters and positions (GGA-PBE).
Neutral-atom scattering factors, no anomalous dispersion.

The 12 most intense peaks (10 to 90 degrees two-theta), in order of rising 2θ:
| 2θ/deg | Rel. int. | h k l |
| --- | --- | --- |
| 23.42 | 130 | 1 0 1 |
| 30.18 | 64 | 1 0 5 |
| 33.82 | 41 | 1 1 2 |
| 35.78 | 49 | 1 0 7 |
| 40.55 | 1000 | 1 1 6 |
| 47.08 | 161 | 0 0 12 |
| 47.21 | 326 | 2 0 0 |
| 68.88 | 206 | 2 0 12 |
| 68.99 | 105 | 2 2 0 |
| 83.00 | 122 | 1 1 18 |
| 83.20 | 259 | 3 1 6 |
| 87.73 | 112 | 2 2 12 |

```
data_CoPt2
_chemical_formula_sum 'Co8 Pt16'
_space_group_name_H-M_alt 'I 41/a m d'
_space_group_IT_number 141
_cell_length_a 3.850
_cell_length_b 3.850
_cell_length_c 23.164
_cell_angle_alpha 90.00
_cell_angle_beta 90.00
_cell_angle_gamma 90.00
loop_
_space_group_symop_operation_xyz
'x,y,z'
'-x,-y,-z'
'-y+1/4,x+3/4,z+1/4'
'y+1/4,-x+3/4,-z+1/4'
'-x+1/2,-y,z+1/2'
'x+1/2,y,-z+1/2'
'y+1/4,-x+1/4,z+3/4'
'-y+1/4,x+1/4,-z+3/4'
'x,-y,-z'
'-x,y,z'
'-y+1/4,-x+1/4,-z+3/4'
'y+1/4,x+1/4,z+3/4'
'-x+1/2,y,-z+1/2'
'x+1/2,-y,z+1/2'
'y+1/4,x+3/4,-z+1/4'
'-y+1/4,-x+3/4,z+1/4'
'x+1/2,y+1/2,z+1/2'
'-x+1/2,-y+1/2,-z+1/2'
'-y+3/4,x+1/4,z+3/4'
'y+3/4,-x+1/4,-z+3/4'
'-x,-y+1/2,z'
'x,y+1/2,-z'
'y+3/4,-x+3/4,z+1/4'
'-y+3/4,x+3/4,-z+1/4'
'x+1/2,-y+1/2,-z+1/2'
'-x+1/2,y+1/2,z+1/2'
'-y+3/4,-x+3/4,-z+1/4'
'y+3/4,x+3/4,z+1/4'
'-x,y+1/2,-z'
'x,-y+1/2,z'
'y+3/4,x+1/4,-z+3/4'
'-y+3/4,-x+1/4,z+3/4'
loop_
_atom_site_label
_atom_site_type_symbol
_atom_site_fract_x
_atom_site_fract_y
_atom_site_fract_z
_atom_site_occupancy
Co1 Co 0.000 0.250 0.289 1
Pt1 Pt 0.000 0.250 0.124 1
Pt2 Pt 0.000 0.250 0.790 1
```

***

Calculated X-ray powder pattern of PmTa4Ge2 for Cu Kα, 1.54184 Å, from DFT lattice parameters and positions (GGA-PBE).
Neutral-atom scattering factors, no anomalous dispersion.

The 12 most intense peaks (10 to 90 degrees two-theta), in order of rising 2θ:
| 2θ/deg | Rel. int. | h k l |
| --- | --- | --- |
| 10.41 | 310 | 0 2 0 |
| 31.60 | 166 | 0 6 0 |
| 35.47 | 1000 | 1 3 1 |
| 41.54 | 501 | 0 0 2 |
| 42.57 | 90 | 0 8 0 |
| 48.87 | 142 | 2 0 0 |
| 53.12 | 79 | 0 6 2 |
| 58.81 | 90 | 1 9 1 |
| 66.03 | 132 | 2 0 2 |
| 71.87 | 130 | 1 3 3 |
| 81.05 | 93 | 1 13 1 |
| 82.53 | 91 | 3 3 1 |

```
data_PmTa4Ge2
_chemical_formula_sum 'Pm2 Ta8 Ge4'
_space_group_name_H-M_alt 'C m m m'
_space_group_IT_number 65
_space_group_name_Hall '-C 2 2'
_cell_length_a 3.727
_cell_length_b 16.989
_cell_length_c 4.347
_cell_angle_alpha 90.00
_cell_angle_beta 90.00
_cell_angle_gamma 90.00
loop_
_atom_site_label
_atom_site_type_symbol
_atom_site_fract_x
_atom_site_fract_y
_atom_site_fract_z
_atom_site_occupancy
Pm1 Pm 0.000 0.000 0.000 1
Ta1 Ta 0.000 0.184 0.500 1
Ta2 Ta 0.000 0.320 0.000 1
Ge1 Ge 0.000 0.426 0.500 1
```

***

Calculated X-ray powder pattern of Ag2Pd2O3 for Cu Kα, 1.54184 Å, from DFT lattice parameters and positions (GGA-PBE).
Neutral-atom scattering factors, no anomalous dispersion.

The 12 most intense peaks (10 to 90 degrees two-theta), in order of rising 2θ:
| 2θ/deg | Rel. int. | h k l |
| --- | --- | --- |
| 26.47 | 522 | 1 0 -2 |
| 33.19 | 200 | 2 0 -2 |
| 33.38 | 465 | 0 1 2 |
| 34.88 | 350 | 0 2 0 |
| 36.10 | 1000 | 2 1 0 |
| 37.67 | 189 | 1 0 2 |
| 37.78 | 166 | 0 2 1 |
| 41.73 | 214 | 1 1 2 |
| 44.31 | 229 | 1 2 -2 |
| 48.69 | 223 | 3 1 -2 |
| 57.17 | 243 | 1 1 -4 |
| 59.95 | 170 | 3 0 -4 |

```
data_Ag2Pd2O3
_chemical_formula_sum 'Ag4 Pd4 O6'
_space_group_name_H-M_alt 'P 1 21/c 1'
_space_group_IT_number 14
_space_group_name_Hall '-P 2ybc'
_cell_length_a 6.179
_cell_length_b 5.145
_cell_length_c 6.839
_cell_angle_alpha 90.00
_cell_angle_beta 113.04
_cell_angle_gamma 90.00
loop_
_atom_site_label
_atom_site_type_symbol
_atom_site_fract_x
_atom_site_fract_y
_atom_site_fract_z
_atom_site_occupancy
Ag1 Ag 0.094 0.191 0.315 1
Pd1 Pd 0.396 0.723 0.041 1
O1 O 0.000 0.000 0.000 1
O2 O 0.383 0.555 0.294 1
```

***

Calculated X-ray powder pattern of Ca2Th4Rh9 for Cu Kα, 1.54184 Å, from DFT lattice parameters and positions (GGA-PBE).
Neutral-atom scattering factors, no anomalous dispersion.

The 12 most intense peaks (10 to 90 degrees two-theta), in order of rising 2θ:
| 2θ/deg | Rel. int. | h k l |
| --- | --- | --- |
| 10.36 | 141 | 0 0 2 |
| 20.81 | 213 | 0 0 4 |
| 22.72 | 72 | 1 0 1 |
| 24.47 | 99 | 1 0 2 |
| 27.15 | 169 | 1 0 3 |
| 34.45 | 83 | 0 1 5 |
| 38.78 | 1000 | 1 1 0 |
| 43.38 | 104 | 0 1 7 |
| 44.42 | 184 | 1 1 4 |
| 56.00 | 135 | 0 2 6 |
| 70.20 | 245 | 3 0 0 |
| 83.22 | 70 | 2 2 0 |

```
data_Ca2Th4Rh9
_chemical_formula_sum 'Ca2 Th4 Rh9'
_space_group_name_H-M_alt 'P -3 m 1'
_space_group_IT_number 164
_space_group_name_Hall '-P 3 2"'
_cell_length_a 4.6436
_cell_length_b 4.6436
_cell_length_c 17.0764
_cell_angle_alpha 90.00
_cell_angle_beta 90.00
_cell_angle_gamma 120.00
loop_
_atom_site_label
_atom_site_type_symbol
_atom_site_fract_x
_atom_site_fract_y
_atom_site_fract_z
_atom_site_occupancy
Ca1 Ca 0.3333 0.6667 0.2518 1
Th1 Th 0.3333 0.6667 0.6050 1
Th2 Th 0.3333 0.6667 0.9018 1
Rh1 Rh 0.0000 0.0000 0.0000 1
Rh2 Rh 0.0000 0.0000 0.1670 1
Rh3 Rh 0.0000 0.0000 0.3419 1
Rh4 Rh 0.3333 0.6667 0.0804 1
Rh5 Rh 0.3333 0.6667 0.4345 1
```

***

Calculated X-ray powder pattern of UAl2Au2 for Cu Kα, 1.54184 Å, from DFT lattice parameters and positions (GGA-PBE).
Neutral-atom scattering factors, no anomalous dispersion.

The 12 most intense peaks (10 to 90 degrees two-theta), in order of rising 2θ:
| 2θ/deg | Rel. int. | h k l |
| --- | --- | --- |
| 25.09 | 210 | 0 0 3 |
| 26.57 | 247 | 1 0 2 |
| 29.24 | 166 | 1 1 0 |
| 30.44 | 466 | 1 1 1 |
| 32.65 | 630 | 1 0 3 |
| 33.83 | 1000 | 1 1 2 |
| 41.82 | 572 | 2 0 0 |
| 47.61 | 306 | 1 0 5 |
| 54.05 | 311 | 2 1 3 |
| 60.63 | 195 | 2 2 0 |
| 65.20 | 245 | 2 1 5 |
| 71.26 | 273 | 3 1 2 |

```
data_UAl2Au2
_chemical_formula_sum 'U2 Al4 Au4'
_space_group_name_H-M_alt 'P 4/n m m'
_space_group_IT_number 129
_cell_length_a 4.320
_cell_length_b 4.320
_cell_length_c 10.648
_cell_angle_alpha 90.00
_cell_angle_beta 90.00
_cell_angle_gamma 90.00
loop_
_space_group_symop_operation_xyz
'x,y,z'
'-x,-y,-z'
'-y+1/2,x,z'
'y+1/2,-x,-z'
'-x+1/2,-y+1/2,z'
'x+1/2,y+1/2,-z'
'y,-x+1/2,z'
'-y,x+1/2,-z'
'x+1/2,-y,-z'
'-x+1/2,y,z'
'-y,-x,-z'
'y,x,z'
'-x,y+1/2,-z'
'x,-y+1/2,z'
'y+1/2,x+1/2,-z'
'-y+1/2,-x+1/2,z'
loop_
_atom_site_label
_atom_site_type_symbol
_atom_site_fract_x
_atom_site_fract_y
_atom_site_fract_z
_atom_site_occupancy
U1 U 0.250 0.250 0.248 1
Al1 Al 0.250 0.250 0.866 1
Al2 Al 0.250 0.750 0.500 1
Au1 Au 0.250 0.250 0.633 1
Au2 Au 0.250 0.750 0.000 1
```

***

Calculated X-ray powder pattern of Ac2Al4Pd3Au for Cu Kα, 1.54184 Å, from DFT lattice parameters and positions (GGA-PBE).
Neutral-atom scattering factors, no anomalous dispersion.

The 12 most intense peaks (10 to 90 degrees two-theta), in order of rising 2θ:
| 2θ/deg | Rel. int. | h k l |
| --- | --- | --- |
| 21.44 | 289 | 1 0 1 |
| 27.93 | 144 | 1 1 0 |
| 29.24 | 282 | 1 1 1 |
| 32.53 | 633 | 1 0 3 |
| 32.89 | 1000 | 1 1 2 |
| 39.91 | 530 | 2 0 0 |
| 48.10 | 304 | 1 0 5 |
| 52.40 | 347 | 2 1 3 |
| 57.71 | 184 | 2 2 0 |
| 60.74 | 167 | 1 1 6 |
| 64.22 | 224 | 2 1 5 |
| 68.04 | 252 | 3 1 2 |

```
data_Ac2Al4Pd3Au
_chemical_formula_sum 'Ac2 Al4 Pd3 Au1'
_space_group_name_H-M_alt 'P -4 m 2'
_space_group_IT_number 115
_space_group_name_Hall 'P -4 -2'
_cell_length_a 4.518
_cell_length_b 4.518
_cell_length_c 10.411
_cell_angle_alpha 90.00
_cell_angle_beta 90.00
_cell_angle_gamma 90.00
loop_
_atom_site_label
_atom_site_type_symbol
_atom_site_fract_x
_atom_site_fract_y
_atom_site_fract_z
_atom_site_occupancy
Ac1 Ac 0.000 0.500 0.249 1
Al1 Al 0.000 0.000 0.000 1
Al2 Al 0.000 0.500 0.623 1
Al3 Al 0.500 0.500 0.000 1
Pd1 Pd 0.000 0.500 0.873 1
Pd2 Pd 0.500 0.500 0.500 1
Au1 Au 0.000 0.000 0.500 1
```